Entry 1:
Theoretical powder XRD pattern of TiPH for λ = 1.5418 Å (Cu Kα), from the PBE geometry in Alexandria.
Lines closer than 0.1° are merged.

The 12 most intense peaks (2θ from 5° to 70°), in order of falling intensity:
d/Å, 2theta, I/Imax, index
2.240, 40.26, 100.0, 0 2 2
2.177, 41.47, 96.4, 1 1 2
2.866, 31.20, 58.2, 1 1 0
2.101, 43.05, 34.6, 1 2 1
1.711, 53.58, 34.1, 1 3 0
1.841, 49.51, 24.1, 1 0 3
2.930, 30.51, 23.9, 1 0 1
4.480, 19.82, 21.7, 0 1 1
1.629, 56.49, 19.8, 2 0 0
1.674, 54.85, 17.6, 0 0 4
3.015, 29.63, 10.9, 0 2 0
1.507, 61.52, 10.1, 0 4 0

Cell and atoms:
```
data_TiPH
_space_group_name_H-M_alt 'I m m m'
_space_group_IT_number 71
_space_group_name_Hall '-I 2 2'
_cell_length_a 3.2581
_cell_length_b 6.0294
_cell_length_c 6.6949
_cell_angle_alpha 90.00
_cell_angle_beta 90.00
_cell_angle_gamma 90.00
loop_
_atom_site_label
_atom_site_fract_x
_atom_site_fract_y
_atom_site_fract_z
_atom_site_occupancy
Ti1 0.0000 0.0000 0.2292 1
P1 0.0000 0.2896 0.5000 1
H1 0.0000 0.5000 0.1453 1
```

Entry 2:
Theoretical powder XRD pattern of DyAgSn for λ = 1.5418 Å (Cu Kα), from the PBE geometry in Alexandria.
Lines closer than 0.1° are merged.

The 12 most intense peaks (2θ from 5° to 70°), in order of falling intensity:
d/Å, 2theta, I/Imax, index
2.630, 34.09, 100.0, 1 0 2
2.498, 35.95, 91.4, 1 1 0
1.811, 50.38, 33.0, 0 2 2
1.466, 63.43, 32.9, 2 1 2
1.547, 59.79, 19.3, 0 1 4
1.442, 64.62, 16.5, 3 0 0
3.623, 24.57, 6.9, 1 0 1
1.967, 46.15, 4.7, 0 1 3
2.056, 44.03, 1.5, 0 2 1
1.588, 58.10, 1.4, 2 1 1
1.995, 45.48, 1.2, 1 1 2
4.327, 20.53, 1.1, 1 0 0

Cell and atoms:
```
data_DyAgSn
_space_group_name_H-M_alt 'P 3 m 1'
_space_group_IT_number 156
_space_group_name_Hall 'P 3 -2"'
_cell_length_a 4.9961
_cell_length_b 4.9961
_cell_length_c 6.6253
_cell_angle_alpha 90.00
_cell_angle_beta 90.00
_cell_angle_gamma 120.00
loop_
_atom_site_label
_atom_site_fract_x
_atom_site_fract_y
_atom_site_fract_z
_atom_site_occupancy
Dy1 0.0000 0.0000 0.0000 1
Dy2 0.3333 0.6667 0.3676 1
Ag1 0.3333 0.6667 0.8452 1
Ag2 0.6667 0.3333 0.6953 1
Sn1 0.0000 0.0000 0.5382 1
Sn2 0.6667 0.3333 0.1524 1
```

Entry 3:
Theoretical powder XRD pattern of AcGa11Au for λ = 1.5418 Å (Cu Kα), from the PBE geometry in Alexandria.
Lines closer than 0.1° are merged.

The 12 most intense peaks (2θ from 5° to 70°), in order of falling intensity:
d/Å, 2theta, I/Imax, index
2.368, 38.00, 100.0, 0 4 2
2.453, 36.64, 88.0, 2 2 -2
2.498, 35.96, 69.2, 2 2 0
2.799, 31.98, 51.3, 1 3 1
2.402, 37.44, 47.8, 1 1 -3
2.355, 38.21, 44.7, 1 5 -1
2.177, 41.48, 32.0, 2 4 -1
3.504, 25.42, 30.9, 1 1 1
3.375, 26.41, 28.6, 1 3 -1
4.903, 18.09, 28.4, 1 1 -1
6.578, 13.46, 28.0, 0 2 0
3.030, 29.47, 20.9, 0 2 2

Cell and atoms:
```
data_AcGa11Au
_space_group_name_H-M_alt 'C 1 2/m 1'
_space_group_IT_number 12
_space_group_name_Hall '-C 2y'
_cell_length_a 5.8054
_cell_length_b 13.1564
_cell_length_c 7.3419
_cell_angle_alpha 90.00
_cell_angle_beta 111.55
_cell_angle_gamma 90.00
loop_
_atom_site_label
_atom_site_fract_x
_atom_site_fract_y
_atom_site_fract_z
_atom_site_occupancy
Ac1 0.0000 0.0000 0.0000 1
Ga1 0.0000 0.0000 0.5000 1
Ga2 0.1104 0.3921 0.2168 1
Ga3 0.1761 0.1798 0.3592 1
Ga4 0.2500 0.2500 0.0000 1
Au1 0.0000 0.5000 0.5000 1
```